# 1
Calculated powder diffraction line list
Compound: Pm2Si6Pd21
Radiation: copper Kα
Structure: a DFT-relaxed cell (GGA-PBE, Alexandria)

Structure:
```
29
Lattice="0.0000 6.1442 6.1442 6.1442 0.0000 6.1442 6.1442 6.1442 0.0000" Properties=species:S:1:pos:R:3 pbc="T T T"
Pm 3.0721 3.0721 3.0721
Pm 9.2162 9.2162 9.2162
Si 6.1442 6.1442 2.8930
Si 6.1442 2.8930 6.1442
Si 9.3953 6.1442 6.1442
Si 2.8930 6.1442 6.1442
Si 6.1442 9.3953 6.1442
Si 6.1442 6.1442 9.3953
Pd 1.4142 1.4142 1.4142
Pd 4.7300 4.7300 1.4142
Pd 4.7300 1.4142 4.7300
Pd 6.1442 4.0280 4.0280
Pd 8.2603 6.1442 4.0280
Pd 8.2603 4.0280 6.1442
Pd 10.8742 7.5583 7.5583
Pd 4.0280 6.1442 4.0280
Pd 6.1442 8.2603 4.0280
Pd 4.0280 4.0280 6.1442
Pd 6.1442 6.1442 6.1442
Pd 8.2603 8.2603 6.1442
Pd 6.1442 4.0280 8.2603
Pd 8.2603 6.1442 8.2603
Pd 1.4142 4.7300 4.7300
Pd 4.0280 8.2603 6.1442
Pd 4.0280 6.1442 8.2603
Pd 6.1442 8.2603 8.2603
Pd 7.5583 10.8742 7.5583
Pd 7.5583 7.5583 10.8742
Pd 10.8742 10.8742 10.8742
```

The 10 most intense peaks (10 to 80 degrees two-theta), by intensity:
2θ 38.05, intensity 100; 2θ 35.80, intensity 31; 2θ 41.57, intensity 30; 2θ 32.59, intensity 29; 2θ 64.33, intensity 29; 2θ 43.57, intensity 29; 2θ 75.86, intensity 20; 2θ 49.18, intensity 14; 2θ 65.82, intensity 14; 2θ 77.25, intensity 10


# 2
Calculated powder diffraction line list
Compound: PmSi6Pd12
Radiation: copper Kα
Structure: a DFT-relaxed cell (GGA-PBE, Alexandria)

Structure:
```
19
Lattice="5.6348 3.2532 2.8004 -5.6348 3.2532 2.8004 0.0000 -6.5065 2.8004" Properties=species:S:1:pos:R:3 pbc="T T T"
Pm 0.0000 0.0000 0.0000
Si 0.0000 -2.8610 3.3312
Si -2.4777 1.4305 3.3312
Si -2.4777 -1.4305 5.0700
Si 2.4777 1.4305 3.3312
Si 2.4777 -1.4305 5.0700
Si 0.0000 2.8610 5.0700
Pd -2.1141 -3.6617 4.2006
Pd -4.2282 0.0000 4.2006
Pd -1.4777 -0.8532 2.9178
Pd 1.4777 -0.8532 2.9178
Pd 0.0000 1.7063 2.9178
Pd 2.1141 -3.6617 4.2006
Pd -2.1141 3.6617 4.2006
Pd 0.0000 -1.7063 5.4834
Pd -1.4777 0.8532 5.4834
Pd 1.4777 0.8532 5.4834
Pd 4.2282 0.0000 4.2006
Pd 2.1141 3.6617 4.2006
```

The 10 most intense peaks (10 to 80 degrees two-theta), by intensity:
2θ 34.82, intensity 100; 2θ 35.81, intensity 49; 2θ 42.60, intensity 33; 2θ 51.64, intensity 31; 2θ 39.61, intensity 19; 2θ 28.03, intensity 18; 2θ 27.42, intensity 17; 2θ 48.47, intensity 17; 2θ 65.37, intensity 16; 2θ 42.86, intensity 15


# 3
Calculated powder diffraction line list
Compound: TbPmSiPd
Radiation: copper Kα
Structure: a DFT-relaxed cell (GGA-PBE, Alexandria)

Structure:
```
4
Lattice="4.2466 0.0000 0.0000 0.0000 2.0218 5.4917 0.0000 -2.0218 5.4917" Properties=species:S:1:pos:R:3 pbc="T T T"
Tb 0.0000 0.0000 0.0000
Pm 2.1233 0.0000 3.0658
Si 2.1233 0.0000 6.1267
Pd 0.0000 0.0000 7.7765
```

The 10 most intense peaks (10 to 80 degrees two-theta), by intensity:
2θ 31.62, intensity 100; 2θ 39.40, intensity 49; 2θ 33.00, intensity 46; 2θ 26.53, intensity 34; 2θ 63.57, intensity 28; 2θ 32.61, intensity 27; 2θ 54.62, intensity 25; 2θ 42.58, intensity 24; 2θ 54.90, intensity 22; 2θ 73.25, intensity 21


# 4
Calculated powder diffraction line list
Compound: PmYSi2Pd5
Radiation: copper Kα
Structure: a DFT-relaxed cell (GGA-PBE, Alexandria)

Structure:
```
9
Lattice="4.2082 0.0000 0.0000 0.0000 4.2082 0.0000 0.0000 0.0000 9.0279" Properties=species:S:1:pos:R:3 pbc="T T T"
Pm 0.0000 0.0000 0.0000
Y 0.0000 0.0000 4.5140
Si 2.1041 2.1041 3.3348
Si 2.1041 2.1041 5.6931
Pd 0.0000 2.1041 2.1251
Pd 0.0000 2.1041 6.9029
Pd 2.1041 0.0000 2.1251
Pd 2.1041 0.0000 6.9029
Pd 2.1041 2.1041 0.0000
```

The 10 most intense peaks (10 to 80 degrees two-theta), by intensity:
2θ 36.16, intensity 100; 2θ 42.99, intensity 36; 2θ 74.31, intensity 24; 2θ 60.12, intensity 18; 2θ 39.95, intensity 15; 2θ 70.08, intensity 13; 2θ 62.42, intensity 12; 2θ 42.73, intensity 11; 2θ 76.72, intensity 9; 2θ 29.01, intensity 5


# 5
Calculated powder diffraction line list
Compound: Pm2ZnSi3Pd4
Radiation: copper Kα
Structure: a DFT-relaxed cell (GGA-PBE, Alexandria)

Structure:
```
10
Lattice="4.2571 0.0000 0.0000 0.0000 4.2571 0.0000 0.0000 0.0000 10.0123" Properties=species:S:1:pos:R:3 pbc="T T T"
Pm 0.0000 2.1285 2.4807
Pm 2.1285 0.0000 7.5316
Zn 2.1285 2.1285 0.0000
Si 0.0000 0.0000 0.0000
Si 0.0000 2.1285 6.2899
Si 2.1285 0.0000 3.7223
Pd 0.0000 0.0000 5.0061
Pd 0.0000 2.1285 8.6848
Pd 2.1285 0.0000 1.3275
Pd 2.1285 2.1285 5.0061
```

The 10 most intense peaks (10 to 80 degrees two-theta), by intensity:
2θ 34.78, intensity 100; 2θ 34.14, intensity 56; 2θ 42.47, intensity 55; 2θ 55.57, intensity 28; 2θ 50.36, intensity 24; 2θ 72.74, intensity 23; 2θ 67.94, intensity 19; 2θ 61.62, intensity 18; 2θ 31.02, intensity 17; 2θ 63.78, intensity 14


# 6
Calculated powder diffraction line list
Compound: Pm3Sm4Pd4
Radiation: copper Kα
Structure: a DFT-relaxed cell (GGA-PBE, Alexandria)

Structure:
```
11
Lattice="-2.4190 3.8363 7.9059 2.4190 -3.8363 7.9059 2.4190 3.8363 -7.9059" Properties=species:S:1:pos:R:3 pbc="T T T"
Pm 0.0000 0.0000 0.0000
Pm 2.4190 0.0000 6.3142
Pm 0.0000 3.8363 1.5917
Sm 2.4190 1.6808 -2.6943
Sm 2.4190 1.6808 2.6943
Sm 0.0000 2.1555 5.2116
Sm 0.0000 2.1555 10.6003
Pd 0.0000 0.0000 3.2026
Pd 2.4190 2.4361 0.0000
Pd 0.0000 1.4002 7.9059
Pd 0.0000 0.0000 12.6093
```

The 10 most intense peaks (10 to 80 degrees two-theta), by intensity:
2θ 30.27, intensity 100; 2θ 31.47, intensity 45; 2θ 37.17, intensity 43; 2θ 41.49, intensity 32; 2θ 30.58, intensity 27; 2θ 34.34, intensity 27; 2θ 41.58, intensity 15; 2θ 48.87, intensity 15; 2θ 34.02, intensity 15; 2θ 33.86, intensity 13


# 7
Calculated powder diffraction line list
Compound: Pm3Sm3Pd4
Radiation: copper Kα
Structure: a DFT-relaxed cell (GGA-PBE, Alexandria)

Structure:
```
10
Lattice="3.9705 0.0000 0.0000 0.0000 5.6653 5.6825 0.0000 -5.6653 5.6825" Properties=species:S:1:pos:R:3 pbc="T T T"
Pm 0.0000 0.0000 0.0000
Pm 1.9853 -2.8323 6.6304
Pm 1.9853 2.8323 6.6304
Sm 0.0000 -1.8918 3.7903
Sm 0.0000 1.8918 3.7903
Sm 0.0000 0.0000 7.5684
Pd 1.9853 0.0000 2.3502
Pd 1.9853 0.0000 5.2390
Pd 1.9853 -1.4467 9.4582
Pd 1.9853 1.4467 9.4582
```

The 10 most intense peaks (10 to 80 degrees two-theta), by intensity:
2θ 33.66, intensity 100; 2θ 35.37, intensity 50; 2θ 31.71, intensity 34; 2θ 59.08, intensity 23; 2θ 45.70, intensity 16; 2θ 63.60, intensity 11; 2θ 52.36, intensity 11; 2θ 31.54, intensity 10; 2θ 76.75, intensity 9; 2θ 27.42, intensity 8


# 8
Calculated powder diffraction line list
Compound: PmSm4Pd2
Radiation: copper Kα
Structure: a DFT-relaxed cell (GGA-PBE, Alexandria)

Structure:
```
14
Lattice="7.1130 0.0000 0.0000 -0.2077 7.4462 0.0000 -1.2123 -2.5994 7.6510" Properties=species:S:1:pos:R:3 pbc="T T T"
Pm 1.3998 1.3145 0.0922
Pm 4.2932 3.5323 7.5588
Sm -0.7732 1.4730 5.5535
Sm 0.6084 -0.6173 2.8333
Sm 1.6184 4.3150 5.2725
Sm 2.9898 4.2605 1.8532
Sm 2.7032 0.5864 5.7977
Sm 4.0746 0.5318 2.3785
Sm 5.0846 5.4642 4.8177
Sm 6.4662 3.3739 2.0975
Pd 1.3587 5.8488 0.0837
Pd 1.5673 2.0218 3.3153
Pd 4.1257 2.8250 4.3357
Pd 4.3343 -1.0020 7.5673
```

The 10 most intense peaks (10 to 80 degrees two-theta), by intensity:
2θ 31.63, intensity 100; 2θ 31.16, intensity 96; 2θ 30.38, intensity 82; 2θ 29.31, intensity 78; 2θ 29.98, intensity 75; 2θ 35.23, intensity 72; 2θ 27.36, intensity 70; 2θ 35.40, intensity 60; 2θ 29.91, intensity 56; 2θ 36.22, intensity 39


# 9
Calculated powder diffraction line list
Compound: PmSm2Pd3
Radiation: copper Kα
Structure: a DFT-relaxed cell (GGA-PBE, Alexandria)

Structure:
```
12
Lattice="5.1269 0.0000 0.0000 0.0000 15.3808 0.0000 0.0000 0.0000 3.5082" Properties=species:S:1:pos:R:3 pbc="T T T"
Pm 1.2817 3.8452 0.0034
Pm 3.8452 11.5356 3.5047
Sm 1.2817 8.9721 0.0000
Sm 1.2817 14.0992 0.0000
Sm 3.8452 1.2817 3.5081
Sm 3.8452 6.4088 3.5081
Pd 1.2817 1.2550 1.7567
Pd 1.2817 6.4354 1.7567
Pd 1.2817 11.5356 1.7543
Pd 3.8452 3.8452 1.7538
Pd 3.8452 8.9454 1.7514
Pd 3.8452 14.1259 1.7514
```

The 10 most intense peaks (10 to 80 degrees two-theta), by intensity:
2θ 35.61, intensity 100; 2θ 35.00, intensity 52; 2θ 63.18, intensity 37; 2θ 50.34, intensity 19; 2θ 64.35, intensity 18; 2θ 75.41, intensity 11; 2θ 52.14, intensity 8; 2θ 73.95, intensity 6; 2θ 24.56, intensity 3; 2θ 43.74, intensity 1


# 10
Calculated powder diffraction line list
Compound: PmSmPd
Radiation: copper Kα
Structure: a DFT-relaxed cell (GGA-PBE, Alexandria)

Structure:
```
18
Lattice="8.2847 0.0000 0.0000 -4.1423 7.1748 0.0000 0.0000 0.0000 8.0577" Properties=species:S:1:pos:R:3 pbc="T T T"
Pm -1.0896 1.8873 0.0000
Pm -1.0896 1.8873 4.0289
Pm 2.1792 0.0000 0.0000
Pm 2.1792 0.0000 4.0289
Pm 3.0527 5.2875 0.0000
Pm 3.0527 5.2875 4.0289
Sm -2.3446 4.3557 2.0144
Sm 1.5425 2.9664 2.0144
Sm 1.7977 2.8190 6.0433
Sm 0.8021 7.0274 2.0144
Sm 4.9445 0.1473 6.0433
Sm 5.6848 4.2084 6.0433
Pd 0.0000 0.0000 2.0144
Pd 0.0000 0.0000 6.0433
Pd 0.0000 4.7832 4.4890
Pd 0.0000 4.7832 7.5976
Pd 4.1424 2.3916 0.4601
Pd 4.1424 2.3916 3.5688
```

The 10 most intense peaks (10 to 80 degrees two-theta), by intensity:
2θ 30.96, intensity 100; 2θ 33.45, intensity 69; 2θ 33.03, intensity 51; 2θ 37.61, intensity 43; 2θ 60.79, intensity 32; 2θ 40.08, intensity 21; 2θ 56.94, intensity 20; 2θ 45.00, intensity 16; 2θ 60.05, intensity 12; 2θ 51.20, intensity 12


# 11
Calculated powder diffraction line list
Compound: Pm5SmPd2
Radiation: copper Kα
Structure: a DFT-relaxed cell (GGA-PBE, Alexandria)

Structure:
```
16
Lattice="1.9657 -6.3675 0.0000 1.9657 6.3675 0.0000 0.0000 0.0000 18.8461" Properties=species:S:1:pos:R:3 pbc="T T T"
Pm 1.9657 5.6124 11.5287
Pm 1.9657 5.6124 16.7405
Pm 1.9657 1.8753 10.1680
Pm 1.9657 1.8753 18.1012
Pm 1.9657 1.6588 4.7115
Pm 1.9657 -1.6588 14.1346
Pm 1.9657 -1.8753 0.7449
Pm 1.9657 -1.8753 8.6781
Pm 1.9657 -5.6124 2.1056
Pm 1.9657 -5.6124 7.3174
Sm 1.9657 1.7429 14.1346
Sm 1.9657 -1.7429 4.7115
Pd 1.9657 3.3965 2.4817
Pd 1.9657 3.3965 6.9413
Pd 1.9657 -3.3965 11.9048
Pd 1.9657 -3.3965 16.3644
```

The 10 most intense peaks (10 to 80 degrees two-theta), by intensity:
2θ 30.43, intensity 100; 2θ 31.00, intensity 48; 2θ 33.98, intensity 46; 2θ 34.21, intensity 43; 2θ 46.17, intensity 34; 2θ 33.68, intensity 32; 2θ 31.37, intensity 31; 2θ 28.42, intensity 30; 2θ 58.55, intensity 27; 2θ 55.67, intensity 25


# 12
Calculated powder diffraction line list
Compound: Pm2Sn2Pd15
Radiation: copper Kα
Structure: a DFT-relaxed cell (GGA-PBE, Alexandria)

Structure:
```
19
Lattice="4.6263 2.6710 4.6233 -4.6263 2.6710 4.6233 0.0000 -5.3420 4.6233" Properties=species:S:1:pos:R:3 pbc="T T T"
Pm 0.0000 0.0000 2.0325
Pm 0.0000 0.0000 11.8374
Sn 0.0000 0.0000 5.4575
Sn 0.0000 0.0000 8.4124
Pd -2.3131 -1.3355 4.6233
Pd 0.0000 -2.7111 4.4519
Pd -2.3479 1.3556 4.4519
Pd -1.4282 -2.4738 6.9349
Pd -2.8564 0.0000 6.9349
Pd -2.3479 -1.3556 9.4180
Pd -2.3131 1.3355 9.2466
Pd 1.4282 -2.4738 6.9349
Pd 0.0000 2.6710 4.6233
Pd -1.4282 2.4738 6.9349
Pd 2.3479 1.3556 4.4518
Pd 2.8564 0.0000 6.9349
Pd 1.4282 2.4738 6.9349
Pd 2.3479 -1.3556 9.4180
Pd 0.0000 2.7111 9.4180
```

The 10 most intense peaks (10 to 80 degrees two-theta), by intensity:
2θ 38.94, intensity 100; 2θ 43.76, intensity 45; 2θ 70.53, intensity 25; 2θ 33.55, intensity 21; 2θ 34.20, intensity 16; 2θ 39.51, intensity 16; 2θ 63.61, intensity 11; 2θ 56.26, intensity 8; 2θ 28.04, intensity 6; 2θ 56.67, intensity 5